The following is a simulated X-ray diffraction stick pattern of Na2TiZnP2SO12. It was derived from a crystal structure in the Materials Project, relaxed with GGA-PBE, using Cu Kα (λ = 1.5418 Å).
No peak broadening, texture or thermal motion is included.

Atomic structure:
```
data_Na2TiZnP2SO12
_cell_length_a 15.2966
_cell_length_b 8.7924
_cell_length_c 8.9448
_cell_angle_alpha 90.00
_cell_angle_beta 124.95
_cell_angle_gamma 90.00
_symmetry_space_group_name_H-M 'C 1 c 1'
_symmetry_Int_Tables_number 9
loop_
_symmetry_equiv_pos_as_xyz
'x,y,z'
'x,-y,z+1/2'
'x+1/2,y+1/2,z'
'x+1/2,-y+1/2,z+1/2'
loop_
_atom_site_label
_atom_site_type_symbol
_atom_site_fract_x
_atom_site_fract_y
_atom_site_fract_z
Na1 Na 0.0000 0.0749 0.0000
Na2 Na 0.0781 0.2706 0.7474
Ti1 Ti 0.4056 0.2573 0.7866
Zn1 Zn 0.2114 0.2496 0.1800
P1 P 0.1570 0.1069 0.4665
P2 P 0.3057 0.4553 0.9754
S1 S 0.4534 0.0962 0.4795
O1 O 0.0474 0.3390 0.9953
O2 O 0.0642 0.1899 0.4630
O3 O 0.1471 0.1334 0.2897
O4 O 0.1485 0.0629 0.9929
O5 O 0.2390 0.3462 0.0001
O6 O 0.2424 0.4453 0.3094
O7 O 0.2662 0.1787 0.6335
O8 O 0.3597 0.1608 0.3129
O9 O 0.3818 0.4409 0.6516
O10 O 0.3911 0.3621 0.9622
O11 O 0.4542 0.1334 0.6439
O12 O 0.4556 0.0737 0.9698
```

Most intense lines, 2θ = 5–70°, low angle first:
hkl	d/Å	Position (°2θ)	I (rel.)
1 1 -1	6.270	14.1	28
2 0 -2	4.463	19.9	44
3 1 -1	4.406	20.2	40
0 2 1	3.776	23.6	100
2 2 -2	3.135	28.5	29
5 1 -2	2.863	31.2	17
0 2 2	2.818	31.8	90
6 0 -2	2.550	35.2	18
3 3 -1	2.541	35.3	28
6 2 0	1.886	48.2	21